[1]
This entry pairs a crystal structure of Ho2Fe3Si5 with its calculated X-ray diffraction stick pattern. Radiation: Cu Kα. Structure: a GGA-PBE-relaxed structure.
Neutral-atom scattering factors, no anomalous dispersion.

Crystal structure
```
Ho2Fe3Si5
1.0
10.362 0.000 0.000
0.000 10.362 0.000
0.000 0.000 5.472
Ho Fe Si
8 12 20
direct
0.070 0.237 0.000 Ho
0.237 0.930 0.000 Ho
0.263 0.430 0.500 Ho
0.430 0.737 0.500 Ho
0.570 0.263 0.500 Ho
0.737 0.570 0.500 Ho
0.763 0.070 0.000 Ho
0.930 0.763 0.000 Ho
0.000 0.500 0.250 Fe
0.000 0.500 0.750 Fe
0.124 0.856 0.500 Fe
0.144 0.124 0.500 Fe
0.356 0.624 0.000 Fe
0.376 0.356 0.000 Fe
0.500 0.000 0.250 Fe
0.500 0.000 0.750 Fe
0.624 0.644 0.000 Fe
0.644 0.376 0.000 Fe
0.856 0.876 0.500 Fe
0.876 0.144 0.500 Fe
0.000 0.000 0.266 Si
0.000 0.000 0.734 Si
0.022 0.320 0.500 Si
0.178 0.678 0.250 Si
0.178 0.678 0.750 Si
0.180 0.478 0.000 Si
0.320 0.978 0.500 Si
0.322 0.178 0.250 Si
0.322 0.178 0.750 Si
0.478 0.820 0.000 Si
0.500 0.500 0.234 Si
0.500 0.500 0.766 Si
0.522 0.180 0.000 Si
0.678 0.822 0.250 Si
0.678 0.822 0.750 Si
0.680 0.022 0.500 Si
0.820 0.522 0.000 Si
0.822 0.322 0.250 Si
0.822 0.322 0.750 Si
0.978 0.680 0.500 Si
```

The 8 most intense peaks (2θ = 10–90°), sorted by position:
Position (°2θ)  intensity
25.18  335
31.83  1000
32.73  281
35.73  342
38.20  286
39.46  528
41.18  575
54.27  265

[2]
This entry pairs a crystal structure of HoFe2Si2 with its calculated X-ray diffraction stick pattern. Radiation: Cu Kα. Structure: a GGA-PBE-relaxed structure.
Neutral-atom scattering factors, no anomalous dispersion.

Crystal structure
```
HoFe2Si2
1.0
-1.977 1.977 4.746
1.977 -1.977 4.746
1.977 1.977 -4.746
Ho Fe Si
1 2 2
direct
0.000 0.000 0.000 Ho
0.250 0.750 0.500 Fe
0.750 0.250 0.500 Fe
0.366 0.366 0.000 Si
0.634 0.634 0.000 Si
```

The 8 most intense peaks (2θ = 10–90°), sorted by position:
Position (°2θ)  intensity
24.39  600
36.37  624
37.33  1000
45.90  414
53.55  170
59.93  291
68.10  193
79.23  209

[3]
This entry pairs a crystal structure of HoFe10Si2 with its calculated X-ray diffraction stick pattern. Radiation: Cu Kα. Structure: a GGA-PBE-relaxed structure.
Neutral-atom scattering factors, no anomalous dispersion.

Crystal structure
```
HoFe10Si2
1.0
-2.379 4.137 4.193
2.379 -4.137 4.193
2.379 4.137 -4.193
Ho Fe Si
1 10 2
direct
0.000 0.000 0.000 Ho
0.000 0.000 0.500 Fe
0.000 0.500 0.000 Fe
0.208 0.500 0.708 Fe
0.354 0.000 0.354 Fe
0.361 0.361 0.000 Fe
0.500 0.000 0.000 Fe
0.500 0.500 0.500 Fe
0.639 0.639 0.000 Fe
0.646 0.000 0.646 Fe
0.792 0.500 0.292 Fe
0.235 0.735 0.500 Si
0.765 0.265 0.500 Si
```

The 8 most intense peaks (2θ = 10–90°), sorted by position:
Position (°2θ)  intensity
21.52  294
30.37  330
37.70  599
43.15  385
43.45  566
43.65  687
43.76  1000
43.91  429

[4]
This entry pairs a crystal structure of HoFe6Sn6 with its calculated X-ray diffraction stick pattern. Radiation: Cu Kα. Structure: a GGA-PBE-relaxed structure.
Neutral-atom scattering factors, no anomalous dispersion.

Crystal structure
```
HoFe6Sn6
1.0
-2.717 4.481 14.066
2.717 -4.481 14.066
2.717 4.481 -14.066
Ho Fe Sn
3 18 18
direct
0.000 0.000 0.000 Ho
0.168 0.668 0.500 Ho
0.832 0.332 0.500 Ho
0.000 0.000 0.500 Fe
0.000 0.500 0.000 Fe
0.080 0.833 0.247 Fe
0.163 0.166 0.496 Fe
0.163 0.667 0.996 Fe
0.247 0.500 0.747 Fe
0.329 0.333 0.496 Fe
0.329 0.834 0.996 Fe
0.414 0.167 0.247 Fe
0.500 0.000 0.000 Fe
0.500 0.500 0.500 Fe
0.586 0.833 0.753 Fe
0.671 0.166 0.004 Fe
0.671 0.667 0.504 Fe
0.753 0.500 0.253 Fe
0.837 0.333 0.004 Fe
0.837 0.834 0.504 Fe
0.920 0.167 0.753 Fe
0.056 0.556 0.500 Sn
0.112 0.112 0.000 Sn
0.171 0.334 0.837 Sn
0.223 0.223 0.000 Sn
0.280 0.780 0.500 Sn
0.337 0.000 0.337 Sn
0.390 0.890 0.500 Sn
0.444 0.444 0.000 Sn
0.497 0.334 0.163 Sn
0.503 0.666 0.837 Sn
0.556 0.556 0.000 Sn
0.610 0.110 0.500 Sn
0.663 0.000 0.663 Sn
0.720 0.220 0.500 Sn
0.777 0.777 0.000 Sn
0.829 0.666 0.163 Sn
0.888 0.888 0.000 Sn
0.944 0.444 0.500 Sn
```

The 8 most intense peaks (2θ = 10–90°), sorted by position:
Position (°2θ)  intensity
33.03  1000
38.28  202
38.81  931
40.25  241
43.47  306
44.82  167
69.37  200
72.22  244

[5]
This entry pairs a crystal structure of HoFe6Sn6 with its calculated X-ray diffraction stick pattern. Radiation: Cu Kα. Structure: a GGA-PBE-relaxed structure.
Neutral-atom scattering factors, no anomalous dispersion.

Crystal structure
```
HoFe6Sn6
1.0
5.408 0.000 0.000
0.004 8.940 0.000
2.701 4.467 14.040
Ho Fe Sn
3 18 18
direct
0.000 0.000 0.000 Ho
0.331 0.833 0.336 Ho
0.668 0.172 0.664 Ho
0.004 0.503 0.500 Fe
0.164 0.418 0.665 Fe
0.164 0.921 0.666 Fe
0.168 0.673 0.166 Fe
0.170 0.165 0.166 Fe
0.330 0.838 0.832 Fe
0.331 0.332 0.833 Fe
0.500 0.004 0.499 Fe
0.501 0.755 0.999 Fe
0.502 0.503 0.498 Fe
0.504 0.247 0.001 Fe
0.664 0.670 0.166 Fe
0.671 0.164 0.166 Fe
0.829 0.837 0.834 Fe
0.831 0.331 0.835 Fe
0.835 0.585 0.333 Fe
0.837 0.083 0.334 Fe
0.995 0.004 0.499 Fe
0.000 0.664 0.001 Sn
0.004 0.337 0.000 Sn
0.105 0.612 0.778 Sn
0.109 0.113 0.777 Sn
0.218 0.725 0.557 Sn
0.224 0.225 0.554 Sn
0.333 0.498 0.332 Sn
0.336 0.172 0.332 Sn
0.443 0.445 0.112 Sn
0.444 0.945 0.112 Sn
0.553 0.556 0.890 Sn
0.554 0.057 0.888 Sn
0.662 0.833 0.667 Sn
0.663 0.507 0.666 Sn
0.775 0.779 0.445 Sn
0.781 0.282 0.442 Sn
0.887 0.889 0.223 Sn
0.889 0.390 0.221 Sn
```

The 8 most intense peaks (2θ = 10–90°), sorted by position:
Position (°2θ)  intensity
33.14  1000
38.46  297
38.94  928
40.35  243
43.65  463
63.10  225
69.56  320
72.43  367

[6]
This entry pairs a crystal structure of Ho4FeSn8 with its calculated X-ray diffraction stick pattern. Radiation: Cu Kα. Structure: a GGA-PBE-relaxed structure.
Neutral-atom scattering factors, no anomalous dispersion.

Crystal structure
```
Ho4FeSn8
1.0
4.445 0.000 0.000
0.000 4.462 0.000
0.000 0.000 16.605
Ho Fe Sn
4 1 8
direct
0.000 0.000 0.000 Ho
0.000 0.500 0.494 Ho
0.500 0.000 0.793 Ho
0.500 0.500 0.298 Ho
0.000 0.500 0.704 Fe
0.000 0.000 0.334 Sn
0.000 0.000 0.634 Sn
0.000 0.500 0.147 Sn
0.000 0.500 0.852 Sn
0.500 0.000 0.149 Sn
0.500 0.000 0.462 Sn
0.500 0.500 0.635 Sn
0.500 0.500 0.971 Sn
```

The 8 most intense peaks (2θ = 10–90°), sorted by position:
Position (°2θ)  intensity
32.35  178
32.72  1000
40.43  177
40.59  175
52.83  93
58.63  121
68.63  209
68.91  141

[7]
This entry pairs a crystal structure of HoTiFe11 with its calculated X-ray diffraction stick pattern. Radiation: Cu Kα. Structure: a GGA-PBE-relaxed structure.
Neutral-atom scattering factors, no anomalous dispersion.

Crystal structure
```
HoTiFe11
1.0
-2.354 4.248 4.242
2.354 -4.248 4.242
2.354 4.248 -4.242
Ho Ti Fe
1 1 11
direct
0.000 0.000 0.000 Ho
0.373 0.373 0.000 Ti
0.004 0.005 0.498 Fe
0.004 0.506 0.999 Fe
0.229 0.507 0.722 Fe
0.230 0.730 0.500 Fe
0.364 0.007 0.357 Fe
0.507 0.005 0.001 Fe
0.507 0.506 0.502 Fe
0.650 0.007 0.643 Fe
0.652 0.652 0.000 Fe
0.779 0.279 0.500 Fe
0.785 0.507 0.278 Fe
```

The 8 most intense peaks (2θ = 10–90°), sorted by position:
Position (°2θ)  intensity
30.24  413
37.07  453
42.60  594
42.95  1000
43.99  686
49.19  223
72.37  196
78.22  187

[8]
This entry pairs a crystal structure of HoV2Fe10 with its calculated X-ray diffraction stick pattern. Radiation: Cu Kα. Structure: a GGA-PBE-relaxed structure.
Neutral-atom scattering factors, no anomalous dispersion.

Crystal structure
```
HoV2Fe10
1.0
-2.346 4.221 4.250
2.346 -4.221 4.250
2.346 4.221 -4.250
Ho V Fe
1 2 10
direct
0.000 0.000 0.000 Ho
0.359 0.359 0.000 V
0.641 0.641 0.000 V
0.000 0.000 0.500 Fe
0.000 0.500 0.000 Fe
0.225 0.500 0.725 Fe
0.227 0.727 0.500 Fe
0.359 0.000 0.359 Fe
0.500 0.000 0.000 Fe
0.500 0.500 0.500 Fe
0.641 0.000 0.641 Fe
0.773 0.273 0.500 Fe
0.775 0.500 0.275 Fe
```

The 8 most intense peaks (2θ = 10–90°), sorted by position:
Position (°2θ)  intensity
30.32  456
37.06  218
37.26  215
42.54  330
42.85  285
43.06  1000
44.12  694
49.34  226

[9]
This entry pairs a crystal structure of FeI2 with its calculated X-ray diffraction stick pattern. Radiation: Cu Kα. Structure: a GGA-PBE-relaxed structure.
Neutral-atom scattering factors, no anomalous dispersion.

Crystal structure
```
FeI2
1.0
4.011 0.000 0.000
-2.005 3.474 0.000
0.000 0.000 7.290
Fe I
1 2
direct
0.000 0.000 0.000 Fe
0.333 0.667 0.778 I
0.667 0.333 0.222 I
```

The 8 most intense peaks (2θ = 10–90°), sorted by position:
Position (°2θ)  intensity
12.14  287
24.42  161
28.46  1000
35.71  426
45.21  281
45.56  287
54.30  159
73.26  130

[10]
This entry pairs a crystal structure of KFeI3 with its calculated X-ray diffraction stick pattern. Radiation: Cu Kα. Structure: a GGA-PBE-relaxed structure.
Neutral-atom scattering factors, no anomalous dispersion.

Crystal structure
```
KFeI3
1.0
9.791 0.000 0.000
0.000 4.061 0.000
0.000 0.000 16.301
K Fe I
4 4 12
direct
0.060 0.250 0.172 K
0.440 0.750 0.672 K
0.560 0.250 0.328 K
0.940 0.750 0.828 K
0.148 0.750 0.452 Fe
0.352 0.250 0.952 Fe
0.648 0.750 0.048 Fe
0.852 0.250 0.548 Fe
0.015 0.750 0.589 I
0.188 0.750 0.001 I
0.235 0.250 0.801 I
0.265 0.750 0.301 I
0.312 0.250 0.501 I
0.485 0.250 0.089 I
0.515 0.750 0.911 I
0.688 0.750 0.499 I
0.735 0.250 0.699 I
0.765 0.750 0.199 I
0.812 0.250 0.999 I
0.985 0.250 0.411 I
```

The 8 most intense peaks (2θ = 10–90°), sorted by position:
Position (°2θ)  intensity
10.54  415
10.85  446
14.14  276
28.51  505
28.90  1000
29.09  729
30.63  445
44.63  374

[11]
This entry pairs a crystal structure of La2Fe2I with its calculated X-ray diffraction stick pattern. Radiation: Cu Kα. Structure: a GGA-PBE-relaxed structure.
Neutral-atom scattering factors, no anomalous dispersion.

Crystal structure
```
La2Fe2I
1.0
4.071 0.000 0.000
-2.035 3.526 0.000
0.000 0.000 18.229
La Fe I
4 4 2
direct
0.000 0.000 0.106 La
0.000 0.000 0.394 La
0.000 0.000 0.606 La
0.000 0.000 0.894 La
0.333 0.667 0.002 Fe
0.333 0.667 0.498 Fe
0.667 0.333 0.502 Fe
0.667 0.333 0.998 Fe
0.333 0.667 0.750 I
0.667 0.333 0.250 I
```

The 8 most intense peaks (2θ = 10–90°), sorted by position:
Position (°2θ)  intensity
25.26  158
25.74  155
32.10  1000
39.14  140
44.51  403
55.93  201
61.04  188
74.14  171